(1)
# Li2MnCr3O8
Computed PXRD pattern, Cu Kα. Input: DFT lattice parameters and positions (GGA+U).

Principal peaks in the range 15° ≤ 2θ ≤ 90°, by intensity:
| Position (°2θ) | Rel. int. | index |
| --- | --- | --- |
| 18.4 | 100 | 1 1 1 |
| 43.4 | 37 | 4 0 0 |
| 35.7 | 31 | 3 1 1 |
| 62.7 | 22 | 4 0 4 |
| 42.9 | 19 | 0 0 4 |
| 35.4 | 16 | 1 1 3 |
| 57.4 | 12 | 5 1 1 |
| 63.1 | 11 | 4 4 0 |
| 37.2 | 9 | 2 2 2 |
| 79.3 | 8 | 4 4 4 |
| 47.3 | 6 | 3 1 3 |
| 56.8 | 6 | 1 1 5 |

Crystal structure
abc: 8.339 8.339 8.424
angles: 90.00 90.00 90.00
Positions (direct):
Li (0.001, 0.251, 0.377)
Li (0.249, 0.501, 0.127)
Li (0.251, 0.001, 0.623)
Li (0.499, 0.751, 0.373)
Li (0.501, 0.249, 0.873)
Li (0.749, 0.999, 0.123)
Li (0.751, 0.499, 0.627)
Li (0.999, 0.749, 0.877)
Mn (0.122, 0.878, 0.250)
Mn (0.378, 0.378, 0.500)
Mn (0.622, 0.622, 0.000)
Mn (0.878, 0.122, 0.750)
Cr (0.125, 0.125, 0.000)
Cr (0.128, 0.372, 0.749)
Cr (0.128, 0.628, 0.499)
Cr (0.372, 0.128, 0.251)
Cr (0.372, 0.872, 0.001)
Cr (0.375, 0.625, 0.750)
Cr (0.625, 0.375, 0.250)
Cr (0.628, 0.128, 0.501)
Cr (0.628, 0.872, 0.751)
Cr (0.872, 0.372, 0.999)
Cr (0.872, 0.628, 0.249)
Cr (0.875, 0.875, 0.500)
O (0.110, 0.871, 0.482)
O (0.111, 0.131, 0.764)
O (0.112, 0.646, 0.260)
O (0.116, 0.354, 0.989)
O (0.129, 0.890, 0.018)
O (0.131, 0.111, 0.236)
O (0.146, 0.388, 0.510)
O (0.146, 0.616, 0.739)
O (0.354, 0.116, 0.011)
O (0.354, 0.888, 0.240)
O (0.369, 0.611, 0.514)
O (0.371, 0.390, 0.732)
O (0.384, 0.854, 0.761)
O (0.388, 0.146, 0.490)
O (0.389, 0.631, 0.986)
O (0.390, 0.371, 0.268)
O (0.610, 0.629, 0.768)
O (0.611, 0.369, 0.486)
O (0.612, 0.854, 0.990)
O (0.616, 0.146, 0.261)
O (0.629, 0.610, 0.232)
O (0.631, 0.389, 0.014)
O (0.646, 0.112, 0.740)
O (0.646, 0.884, 0.511)
O (0.854, 0.384, 0.239)
O (0.854, 0.612, 0.010)
O (0.869, 0.889, 0.736)
O (0.871, 0.110, 0.518)
O (0.884, 0.646, 0.489)
O (0.888, 0.354, 0.760)
O (0.889, 0.869, 0.264)
O (0.890, 0.129, 0.982)


(2)
# CsNaMo3O10
Computed PXRD pattern, Cu Kα. Input: DFT lattice parameters and positions (GGA+U).

Principal peaks in the range 15° ≤ 2θ ≤ 90°, by intensity:
| Position (°2θ) | Rel. int. | index |
| --- | --- | --- |
| 26.4 | 100 | 2 0 3 |
| 29.7 | 76 | 0 2 4 |
| 26.2 | 74 | 1 2 1 |
| 31.8 | 70 | 1 2 4 |
| 27.4 | 67 | 1 2 2 |
| 25.6 | 60 | 1 0 5 |
| 16.7 | 58 | 1 1 1 |
| 35.1 | 46 | 3 0 2 |
| 32.8 | 42 | 2 2 1 |
| 38.9 | 42 | 1 0 8 |
| 47.3 | 42 | 0 4 0 |
| 27.7 | 42 | 0 0 6 |

Crystal structure
abc: 7.946 7.684 19.339
angles: 90.00 90.00 90.00
Positions (direct):
Cs (0.090, 0.250, 0.226)
Cs (0.410, 0.750, 0.726)
Cs (0.590, 0.250, 0.274)
Cs (0.910, 0.750, 0.774)
Na (0.185, 0.250, 0.946)
Na (0.315, 0.750, 0.446)
Na (0.685, 0.250, 0.554)
Na (0.815, 0.750, 0.054)
Mo (0.095, 0.003, 0.588)
Mo (0.095, 0.497, 0.588)
Mo (0.236, 0.250, 0.455)
Mo (0.264, 0.750, 0.955)
Mo (0.405, 0.503, 0.088)
Mo (0.405, 0.997, 0.088)
Mo (0.595, 0.003, 0.912)
Mo (0.595, 0.497, 0.912)
Mo (0.736, 0.250, 0.045)
Mo (0.764, 0.750, 0.545)
Mo (0.905, 0.503, 0.412)
Mo (0.905, 0.997, 0.412)
O (0.003, 0.534, 0.333)
O (0.003, 0.966, 0.333)
O (0.051, 0.750, 0.575)
O (0.070, 0.750, 0.997)
O (0.093, 0.250, 0.559)
O (0.157, 0.011, 0.470)
O (0.157, 0.489, 0.470)
O (0.193, 0.018, 0.109)
O (0.193, 0.482, 0.109)
O (0.215, 0.750, 0.866)
O (0.285, 0.250, 0.366)
O (0.307, 0.518, 0.609)
O (0.307, 0.982, 0.609)
O (0.343, 0.511, 0.970)
O (0.343, 0.989, 0.970)
O (0.407, 0.750, 0.059)
O (0.430, 0.250, 0.497)
O (0.449, 0.250, 0.075)
O (0.497, 0.034, 0.833)
O (0.497, 0.466, 0.833)
O (0.503, 0.534, 0.167)
O (0.503, 0.966, 0.167)
O (0.551, 0.750, 0.925)
O (0.570, 0.750, 0.503)
O (0.593, 0.250, 0.941)
O (0.657, 0.011, 0.030)
O (0.657, 0.489, 0.030)
O (0.693, 0.018, 0.391)
O (0.693, 0.482, 0.391)
O (0.715, 0.750, 0.634)
O (0.785, 0.250, 0.134)
O (0.807, 0.518, 0.891)
O (0.807, 0.982, 0.891)
O (0.843, 0.511, 0.530)
O (0.843, 0.989, 0.530)
O (0.907, 0.750, 0.441)
O (0.930, 0.250, 0.003)
O (0.949, 0.250, 0.425)
O (0.997, 0.034, 0.667)
O (0.997, 0.466, 0.667)